[1]
This entry pairs a crystal structure of PuCdIn with its calculated powder XRD pattern. Radiation: Cu Ka. Structure: the PBE geometry in Alexandria.
Lines closer than 0.1° are merged.

Cell and atoms:
a = 5.1527 Å, b = 5.1527 Å, c = 3.2270 Å
α = 90.00°, β = 90.00°, γ = 120.00°
Positions (direct):
1 Pu 0.0000 0.0000 0.0000
2 Cd 0.3333 0.6667 0.5000
3 In 0.6667 0.3333 0.5000

Principal peaks in the range 5 to 70 degrees two-theta, in order of falling intensity:
2theta, Rel. int.
34.3, 100
34.8, 85
62.1, 36
49.7, 35
68.6, 23
19.9, 21
62.4, 16
57.1, 7
40.4, 4
54.4, 3



[2]
This entry pairs a crystal structure of Cu2Pt5Au with its calculated powder XRD pattern. Radiation: Cu Ka. Structure: the PBE geometry in Alexandria.
Lines closer than 0.1° are merged.

Cell and atoms:
a = 5.5805 Å, b = 11.1236 Å, c = 3.8990 Å
α = 90.00°, β = 90.00°, γ = 90.00°
Positions (direct):
1 Cu 0.2463 0.1251 0.0000
2 Cu 0.2537 0.6251 0.0000
3 Cu 0.7463 0.3749 0.0000
4 Cu 0.7537 0.8749 0.0000
5 Pt 0.0000 0.5000 0.5000
6 Pt 0.0098 0.7476 0.5000
7 Pt 0.2420 0.3709 0.0000
8 Pt 0.2580 0.8709 0.0000
9 Pt 0.4902 0.2476 0.5000
10 Pt 0.5000 0.0000 0.5000
11 Pt 0.5098 0.7524 0.5000
12 Pt 0.7420 0.1291 0.0000
13 Pt 0.7580 0.6291 0.0000
14 Pt 0.9902 0.2524 0.5000
15 Au 0.0000 0.0000 0.5000
16 Au 0.5000 0.5000 0.5000

Principal peaks in the range 5 to 70 degrees two-theta, in order of falling intensity:
2theta, Rel. int.
39.8, 100
46.1, 33
67.6, 21
46.6, 16
22.6, 7
32.3, 6
67.3, 5
67.1, 5
22.8, 4
52.0, 3



[3]
This entry pairs a crystal structure of Sr3DyIn4 with its calculated powder XRD pattern. Radiation: Cu Ka. Structure: the PBE geometry in Alexandria.
Lines closer than 0.1° are merged.

Cell and atoms:
a = 3.9570 Å, b = 3.9570 Å, c = 16.2324 Å
α = 90.00°, β = 90.00°, γ = 90.00°
Positions (direct):
1 Sr 0.0000 0.0000 0.0000
2 Sr 0.0000 0.0000 0.2590
3 Sr 0.0000 0.0000 0.7410
4 Dy 0.0000 0.0000 0.5000
5 In 0.5000 0.5000 0.1288
6 In 0.5000 0.5000 0.3934
7 In 0.5000 0.5000 0.6066
8 In 0.5000 0.5000 0.8712

Principal peaks in the range 5 to 70 degrees two-theta, in order of falling intensity:
2theta, Rel. int.
31.6, 100
32.0, 52
56.8, 37
45.9, 19
5.4, 17
56.0, 16
65.9, 9
44.7, 8
66.9, 6
10.9, 5



[4]
This entry pairs a crystal structure of Pr3ErSe4 with its calculated powder XRD pattern. Radiation: Cu Ka. Structure: the PBE geometry in Alexandria.
Lines closer than 0.1° are merged.

Cell and atoms:
a = 7.3777 Å, b = 8.3506 Å, c = 7.2607 Å
α = 90.00°, β = 109.18°, γ = 90.00°
Positions (direct):
1 Pr 0.0000 0.1214 0.2500
2 Pr 0.0000 0.3730 0.7500
3 Pr 0.0000 0.6270 0.2500
4 Pr 0.0000 0.8786 0.7500
5 Pr 0.5000 0.1231 0.7500
6 Pr 0.5000 0.8769 0.2500
7 Er 0.5000 0.3732 0.2500
8 Er 0.5000 0.6268 0.7500
9 Se 0.2579 0.1334 0.0082
10 Se 0.2579 0.8666 0.5082
11 Se 0.2644 0.3823 0.4992
12 Se 0.2644 0.6177 0.9992
13 Se 0.7356 0.3823 0.0008
14 Se 0.7356 0.6177 0.5008
15 Se 0.7421 0.1334 0.4918
16 Se 0.7421 0.8666 0.9918

Principal peaks in the range 5 to 70 degrees two-theta, in order of falling intensity:
2theta, Rel. int.
30.0, 100
42.7, 38
43.2, 24
26.0, 13
53.6, 13
43.3, 12
62.4, 8
52.5, 7
53.4, 7
25.6, 5



[5]
This entry pairs a crystal structure of ZnAg4Br6 with its calculated powder XRD pattern. Radiation: Cu Ka. Structure: the PBE geometry in Alexandria.
Lines closer than 0.1° are merged.

Cell and atoms:
a = 7.7567 Å, b = 7.7567 Å, c = 13.3789 Å
α = 106.18°, β = 106.18°, γ = 60.51°
Positions (direct):
1 Zn 0.2360 0.7640 0.5000
2 Zn 0.7640 0.2360 0.0000
3 Ag 0.1668 0.3730 0.2451
4 Ag 0.3519 0.7791 0.0875
5 Ag 0.3730 0.1668 0.7451
6 Ag 0.6473 0.8643 0.4362
7 Ag 0.7791 0.3519 0.5875
8 Ag 0.8552 0.9908 0.2420
9 Ag 0.8643 0.6473 0.9362
10 Ag 0.9908 0.8552 0.7420
11 Br 0.0072 0.4956 0.7492
12 Br 0.0477 0.0858 0.4428
13 Br 0.0487 0.5707 0.4406
14 Br 0.0858 0.0477 0.9428
15 Br 0.1082 0.6482 0.1285
16 Br 0.3344 0.8084 0.6899
17 Br 0.4956 0.0072 0.2492
18 Br 0.5440 0.5648 0.4257
19 Br 0.5648 0.5440 0.9257
20 Br 0.5707 0.0487 0.9406
21 Br 0.6482 0.1082 0.6285
22 Br 0.8084 0.3344 0.1899

Principal peaks in the range 5 to 70 degrees two-theta, in order of falling intensity:
2theta, Rel. int.
28.1, 100
26.8, 53
42.6, 41
42.7, 35
27.1, 35
40.1, 33
24.1, 32
22.8, 32
46.9, 29
43.1, 25



[6]
This entry pairs a crystal structure of CaTm2Ge4O12 with its calculated powder XRD pattern. Radiation: Cu Ka. Structure: the PBE geometry in Alexandria.
Lines closer than 0.1° are merged.

Cell and atoms:
a = 10.0505 Å, b = 10.0505 Å, c = 5.0775 Å
α = 90.00°, β = 90.00°, γ = 90.05°
Positions (direct):
1 Ca 0.0000 0.0000 0.0000
2 Ca 0.5000 0.5000 0.0000
3 Tm 0.0000 0.5000 0.0000
4 Tm 0.2500 0.2500 0.0000
5 Tm 0.5000 0.0000 0.0000
6 Tm 0.7500 0.7500 0.0000
7 Ge 0.0194 0.7493 0.5050
8 Ge 0.2493 0.5194 0.5050
9 Ge 0.2507 0.9806 0.5050
10 Ge 0.4806 0.7507 0.5050
11 Ge 0.5194 0.2493 0.4950
12 Ge 0.7493 0.0194 0.4950
13 Ge 0.7507 0.4806 0.4950
14 Ge 0.9806 0.2507 0.4950
15 O 0.0579 0.3288 0.7621
16 O 0.0719 0.1772 0.2456
17 O 0.1221 0.6221 0.6718
18 O 0.1304 0.8696 0.3535
19 O 0.1712 0.4421 0.2379
20 O 0.1772 0.0719 0.7544
21 O 0.3228 0.4281 0.7544
22 O 0.3288 0.0579 0.2379
23 O 0.3696 0.6304 0.3535
24 O 0.3779 0.8779 0.6718
25 O 0.4281 0.3228 0.2456
26 O 0.4421 0.1712 0.7621
27 O 0.5579 0.8288 0.2379
28 O 0.5719 0.6772 0.7544
29 O 0.6221 0.1221 0.3282
30 O 0.6304 0.3696 0.6465
31 O 0.6712 0.9421 0.7621
32 O 0.6772 0.5719 0.2456
33 O 0.8228 0.9281 0.2456
34 O 0.8288 0.5579 0.7621
35 O 0.8696 0.1304 0.6465
36 O 0.8779 0.3779 0.3282
37 O 0.9281 0.8228 0.7544
38 O 0.9421 0.6712 0.2379

Principal peaks in the range 5 to 70 degrees two-theta, in order of falling intensity:
2theta, Rel. int.
30.7, 100
21.5, 36
12.5, 35
51.1, 27
61.1, 25
35.7, 24
60.6, 15
28.1, 14
51.4, 13
45.7, 11



[7]
This entry pairs a crystal structure of Y2MnGa8 with its calculated powder XRD pattern. Radiation: Cu Ka. Structure: the PBE geometry in Alexandria.
Lines closer than 0.1° are merged.

Cell and atoms:
a = 4.2515 Å, b = 4.2515 Å, c = 11.3369 Å
α = 90.00°, β = 90.00°, γ = 90.00°
Positions (direct):
1 Y 0.0000 0.0000 0.1913
2 Y 0.0000 0.0000 0.8087
3 Mn 0.0000 0.0000 0.5000
4 Ga 0.0000 0.5000 0.0000
5 Ga 0.0000 0.5000 0.3798
6 Ga 0.0000 0.5000 0.6202
7 Ga 0.5000 0.0000 0.0000
8 Ga 0.5000 0.0000 0.3798
9 Ga 0.5000 0.0000 0.6202
10 Ga 0.5000 0.5000 0.1912
11 Ga 0.5000 0.5000 0.8088

Principal peaks in the range 5 to 70 degrees two-theta, in order of falling intensity:
2theta, Rel. int.
38.3, 100
42.5, 53
33.7, 37
59.6, 23
39.8, 20
61.7, 17
43.9, 8
30.8, 6
66.2, 5
20.9, 5



[8]
This entry pairs a crystal structure of RbHfHgI6 with its calculated powder XRD pattern. Radiation: Cu Ka. Structure: the PBE geometry in Alexandria.
Lines closer than 0.1° are merged.

Cell and atoms:
a = 7.9271 Å, b = 8.0332 Å, c = 8.0469 Å
α = 107.80°, β = 90.24°, γ = 112.01°
Positions (direct):
1 Rb 0.0000 0.0000 0.0000
2 Hf 0.0978 0.6460 0.4475
3 Hg 0.5778 0.1696 0.4667
4 I 0.2864 0.7987 0.1901
5 I 0.2970 0.4091 0.3937
6 I 0.3811 0.9397 0.7198
7 I 0.8040 0.3563 0.1849
8 I 0.9000 0.8845 0.4939
9 I 0.9229 0.4966 0.7122

Principal peaks in the range 5 to 70 degrees two-theta, in order of falling intensity:
2theta, Rel. int.
26.6, 100
11.7, 75
13.6, 71
27.4, 52
35.8, 30
36.2, 27
40.4, 22
40.8, 16
35.9, 16
20.7, 15



[9]
This entry pairs a crystal structure of CdB2H8 with its calculated powder XRD pattern. Radiation: Cu Ka. Structure: the PBE geometry in Alexandria.
Lines closer than 0.1° are merged.

Cell and atoms:
a = 5.9883 Å, b = 5.9883 Å, c = 5.8400 Å
α = 90.00°, β = 90.00°, γ = 90.00°
Positions (direct):
1 Cd 0.0000 0.0000 0.0000
2 Cd 0.5000 0.5000 0.5000
3 B 0.2302 0.2302 0.7343
4 B 0.2698 0.7302 0.2343
5 B 0.7302 0.2698 0.2343
6 B 0.7698 0.7698 0.7343
7 H 0.0540 0.3054 0.8123
8 H 0.1311 0.8689 0.3019
9 H 0.1946 0.5540 0.3123
10 H 0.2037 0.2037 0.5310
11 H 0.2963 0.7037 0.0310
12 H 0.3054 0.0540 0.8123
13 H 0.3689 0.3689 0.8019
14 H 0.4460 0.8054 0.3123
15 H 0.5540 0.1946 0.3123
16 H 0.6311 0.6311 0.8019
17 H 0.6946 0.9460 0.8123
18 H 0.7037 0.2963 0.0310
19 H 0.7963 0.7963 0.5310
20 H 0.8054 0.4460 0.3123
21 H 0.8689 0.1311 0.3019
22 H 0.9460 0.6946 0.8123

Principal peaks in the range 5 to 70 degrees two-theta, in order of falling intensity:
2theta, Rel. int.
21.3, 100
21.0, 53
36.9, 49
37.4, 24
43.3, 19
29.8, 15
58.1, 13
57.7, 12
58.6, 12
48.2, 12



[10]
This entry pairs a crystal structure of Li2TmAgBr6 with its calculated powder XRD pattern. Radiation: Cu Ka. Structure: the PBE geometry in Alexandria.
Lines closer than 0.1° are merged.

Cell and atoms:
a = 7.5889 Å, b = 7.5889 Å, c = 7.5889 Å
α = 54.93°, β = 54.93°, γ = 54.93°
Positions (direct):
1 Li 0.0000 0.0000 0.0000
2 Li 0.4894 0.4894 0.4894
3 Tm 0.8091 0.8091 0.8091
4 Ag 0.2921 0.2921 0.2921
5 Br 0.0820 0.4037 0.7228
6 Br 0.2218 0.8762 0.6055
7 Br 0.4037 0.7228 0.0820
8 Br 0.6055 0.2218 0.8762
9 Br 0.7228 0.0820 0.4037
10 Br 0.8762 0.6055 0.2218

Principal peaks in the range 5 to 70 degrees two-theta, in order of falling intensity:
2theta, Rel. int.
29.1, 100
17.3, 71
38.0, 65
44.9, 47
23.6, 32
49.9, 24
30.9, 21
35.0, 17
40.5, 16
43.8, 16